Calculated X-ray powder pattern of K3TlPd3O8 for CuKα, from a PBE-relaxed structure.
No peak broadening, texture or thermal motion is included.

Structure:
Lattice parameters (Å, degrees): 6.842 6.842 6.824 113.82 113.82 55.66
Element x y z (fractional)
K 0.000 0.000 0.000
K 0.000 0.500 0.000
K 0.500 0.000 0.000
Tl 0.000 0.000 0.500
Pd 0.000 0.500 0.500
Pd 0.500 0.000 0.500
Pd 0.500 0.500 0.500
O 0.220 0.665 0.645
O 0.231 0.231 0.293
O 0.232 0.232 0.679
O 0.335 0.780 0.355
O 0.665 0.220 0.645
O 0.768 0.768 0.321
O 0.769 0.769 0.707
O 0.780 0.335 0.355

Main lines, by angle (2θ from 10° to 90°):
d 6.071, 2θ 14.59, intensity 100; d 3.035, 2θ 29.43, intensity 29; d 2.747, 2θ 32.60, intensity 37; d 2.691, 2θ 33.29, intensity 32; d 2.324, 2θ 38.75, intensity 45; d 1.692, 2θ 54.20, intensity 22


Calculated X-ray powder pattern of KPm4Pt3O12 for CuKα, from a PBE-relaxed structure.
No peak broadening, texture or thermal motion is included.

Structure:
Lattice parameters (Å, degrees): 7.359 7.359 7.359 109.47 109.47 109.47
Element x y z (fractional)
K 0.000 0.000 0.000
Pm 0.000 0.000 0.500
Pm 0.000 0.500 0.000
Pm 0.500 0.000 0.000
Pm 0.500 0.500 0.500
Pt 0.000 0.500 0.500
Pt 0.500 0.000 0.500
Pt 0.500 0.500 0.000
O 0.157 0.485 0.328
O 0.157 0.829 0.672
O 0.171 0.328 0.843
O 0.328 0.157 0.485
O 0.328 0.843 0.171
O 0.485 0.328 0.157
O 0.515 0.672 0.843
O 0.672 0.157 0.829
O 0.672 0.843 0.515
O 0.829 0.672 0.157
O 0.843 0.171 0.328
O 0.843 0.515 0.672

Main lines, by angle (2θ from 10° to 90°):
d 3.004, 2θ 29.74, intensity 100; d 2.124, 2θ 42.56, intensity 20; d 1.735, 2θ 52.78, intensity 47; d 1.502, 2θ 61.75, intensity 13; d 1.344, 2θ 70.03, intensity 19; d 1.136, 2θ 85.52, intensity 22


Please write out number 2 again, unchanged.
Calculated X-ray powder pattern of KPm4Pt3O12 for CuKα, from a PBE-relaxed structure.
No peak broadening, texture or thermal motion is included.

Structure:
Lattice parameters (Å, degrees): 7.359 7.359 7.359 109.47 109.47 109.47
Element x y z (fractional)
K 0.000 0.000 0.000
Pm 0.000 0.000 0.500
Pm 0.000 0.500 0.000
Pm 0.500 0.000 0.000
Pm 0.500 0.500 0.500
Pt 0.000 0.500 0.500
Pt 0.500 0.000 0.500
Pt 0.500 0.500 0.000
O 0.157 0.485 0.328
O 0.157 0.829 0.672
O 0.171 0.328 0.843
O 0.328 0.157 0.485
O 0.328 0.843 0.171
O 0.485 0.328 0.157
O 0.515 0.672 0.843
O 0.672 0.157 0.829
O 0.672 0.843 0.515
O 0.829 0.672 0.157
O 0.843 0.171 0.328
O 0.843 0.515 0.672

Main lines, by angle (2θ from 10° to 90°):
d 3.004, 2θ 29.74, intensity 100; d 2.124, 2θ 42.56, intensity 20; d 1.735, 2θ 52.78, intensity 47; d 1.502, 2θ 61.75, intensity 13; d 1.344, 2θ 70.03, intensity 19; d 1.136, 2θ 85.52, intensity 22


Please write out number 2 again, unchanged.
Calculated X-ray powder pattern of KPm4Pt3O12 for CuKα, from a PBE-relaxed structure.
No peak broadening, texture or thermal motion is included.

Structure:
Lattice parameters (Å, degrees): 7.359 7.359 7.359 109.47 109.47 109.47
Element x y z (fractional)
K 0.000 0.000 0.000
Pm 0.000 0.000 0.500
Pm 0.000 0.500 0.000
Pm 0.500 0.000 0.000
Pm 0.500 0.500 0.500
Pt 0.000 0.500 0.500
Pt 0.500 0.000 0.500
Pt 0.500 0.500 0.000
O 0.157 0.485 0.328
O 0.157 0.829 0.672
O 0.171 0.328 0.843
O 0.328 0.157 0.485
O 0.328 0.843 0.171
O 0.485 0.328 0.157
O 0.515 0.672 0.843
O 0.672 0.157 0.829
O 0.672 0.843 0.515
O 0.829 0.672 0.157
O 0.843 0.171 0.328
O 0.843 0.515 0.672

Main lines, by angle (2θ from 10° to 90°):
d 3.004, 2θ 29.74, intensity 100; d 2.124, 2θ 42.56, intensity 20; d 1.735, 2θ 52.78, intensity 47; d 1.502, 2θ 61.75, intensity 13; d 1.344, 2θ 70.03, intensity 19; d 1.136, 2θ 85.52, intensity 22